# BeCrFe14
Calculated X-ray diffraction stick pattern, Cu Kα (λ = 1.5418 Å). Input: a DFT-relaxed cell (GGA-PBE, Alexandria).
Kinematic intensities with the Lorentz-polarization factor, no thermal factor.

Crystal structure
```
data_BeCrFe14
_chemical_formula_sum 'Be1 Cr1 Fe14'
_space_group_name_H-M_alt 'P 1'
_space_group_IT_number 1
_space_group_name_Hall 'P 1'
_cell_length_a 4.895
_cell_length_b 4.895
_cell_length_c 7.934
_cell_angle_alpha 90.00
_cell_angle_beta 90.00
_cell_angle_gamma 108.85
loop_
_atom_site_label
_atom_site_type_symbol
_atom_site_fract_x
_atom_site_fract_y
_atom_site_fract_z
Be1 Be 0.000 0.000 0.000
Cr1 Cr 0.500 0.500 0.000
Fe1 Fe 0.000 0.000 0.500
Fe2 Fe 0.000 0.500 0.000
Fe3 Fe 0.000 0.500 0.500
Fe4 Fe 0.248 0.248 0.245
Fe5 Fe 0.248 0.248 0.755
Fe6 Fe 0.249 0.751 0.247
Fe7 Fe 0.249 0.751 0.753
Fe8 Fe 0.500 0.000 0.000
Fe9 Fe 0.500 0.000 0.500
Fe10 Fe 0.500 0.500 0.500
Fe11 Fe 0.751 0.249 0.247
Fe12 Fe 0.751 0.249 0.753
Fe13 Fe 0.752 0.752 0.245
Fe14 Fe 0.752 0.752 0.755
```

Principal peaks in the range 5° ≤ 2θ ≤ 70°, by intensity:
- 45.34 deg, 2.000 Å, I 100
- 45.57 deg, 1.991 Å, I 25
- 45.74 deg, 1.983 Å, I 24
- 66.55 deg, 1.405 Å, I 14
- 65.57 deg, 1.424 Å, I 7
- 11.15 deg, 7.934 Å, I 2
- 22.22 deg, 4.000 Å, I 2
- 22.37 deg, 3.974 Å, I 1



# Be8CrFe3
Calculated X-ray diffraction stick pattern, Cu Kα (λ = 1.5418 Å). Input: a DFT-relaxed cell (GGA-PBE, Alexandria).
Kinematic intensities with the Lorentz-polarization factor, no thermal factor.

Crystal structure
```
data_Be8CrFe3
_chemical_formula_sum 'Be8 Cr1 Fe3'
_space_group_name_H-M_alt 'P 1'
_space_group_IT_number 1
_space_group_name_Hall 'P 1'
_cell_length_a 4.167
_cell_length_b 4.167
_cell_length_c 6.801
_cell_angle_alpha 90.00
_cell_angle_beta 90.00
_cell_angle_gamma 120.00
loop_
_atom_site_label
_atom_site_type_symbol
_atom_site_fract_x
_atom_site_fract_y
_atom_site_fract_z
Be1 Be 0.000 0.000 0.000
Be2 Be 0.000 0.000 0.498
Be3 Be 0.170 0.340 0.750
Be4 Be 0.170 0.830 0.750
Be5 Be 0.341 0.170 0.247
Be6 Be 0.660 0.830 0.750
Be7 Be 0.830 0.170 0.247
Be8 Be 0.830 0.659 0.247
Cr1 Cr 0.667 0.333 0.559
Fe1 Fe 0.333 0.667 0.060
Fe2 Fe 0.333 0.667 0.442
Fe3 Fe 0.667 0.333 0.933
```

Principal peaks in the range 5° ≤ 2θ ≤ 70°, by intensity:
- 47.35 deg, 1.920 Å, I 100
- 43.43 deg, 2.084 Å, I 94
- 24.67 deg, 3.609 Å, I 80
- 51.43 deg, 1.777 Å, I 74
- 27.99 deg, 3.188 Å, I 49
- 26.21 deg, 3.401 Å, I 48
- 36.30 deg, 2.475 Å, I 36
- 52.46 deg, 1.744 Å, I 21



# Be2Nb2CrFe5
Calculated X-ray diffraction stick pattern, Cu Kα (λ = 1.5418 Å). Input: a DFT-relaxed cell (GGA-PBE, Alexandria).
Kinematic intensities with the Lorentz-polarization factor, no thermal factor.

Crystal structure
```
data_Be2Nb2CrFe5
_chemical_formula_sum 'Be4 Nb4 Cr2 Fe10'
_space_group_name_H-M_alt 'P 1'
_space_group_IT_number 1
_space_group_name_Hall 'P 1'
_cell_length_a 8.755
_cell_length_b 8.755
_cell_length_c 2.950
_cell_angle_alpha 90.00
_cell_angle_beta 90.00
_cell_angle_gamma 90.00
loop_
_atom_site_label
_atom_site_type_symbol
_atom_site_fract_x
_atom_site_fract_y
_atom_site_fract_z
Be1 Be 0.122 0.378 0.000
Be2 Be 0.378 0.878 0.000
Be3 Be 0.622 0.122 0.000
Be4 Be 0.878 0.622 0.000
Nb1 Nb 0.174 0.674 0.000
Nb2 Nb 0.326 0.174 0.000
Nb3 Nb 0.674 0.826 0.000
Nb4 Nb 0.826 0.326 0.000
Cr1 Cr 0.000 0.000 0.000
Cr2 Cr 0.500 0.500 0.000
Fe1 Fe 0.000 0.500 0.500
Fe2 Fe 0.066 0.207 0.500
Fe3 Fe 0.207 0.934 0.500
Fe4 Fe 0.293 0.434 0.500
Fe5 Fe 0.434 0.707 0.500
Fe6 Fe 0.500 0.000 0.500
Fe7 Fe 0.566 0.293 0.500
Fe8 Fe 0.707 0.566 0.500
Fe9 Fe 0.793 0.066 0.500
Fe10 Fe 0.934 0.793 0.500
```

Principal peaks in the range 5° ≤ 2θ ≤ 70°, by intensity:
- 44.90 deg, 2.019 Å, I 100
- 42.58 deg, 2.123 Å, I 79
- 38.20 deg, 2.356 Å, I 78
- 42.33 deg, 2.135 Å, I 30
- 48.56 deg, 1.875 Å, I 23
- 43.87 deg, 2.064 Å, I 23
- 46.38 deg, 1.958 Å, I 23
- 22.71 deg, 3.915 Å, I 20



# Be2Cr2Ga
Calculated X-ray diffraction stick pattern, Cu Kα (λ = 1.5418 Å). Input: a DFT-relaxed cell (GGA-PBE, Alexandria).
Kinematic intensities with the Lorentz-polarization factor, no thermal factor.

Crystal structure
```
data_Be2Cr2Ga
_chemical_formula_sum 'Be4 Cr4 Ga2'
_space_group_name_H-M_alt 'P 1'
_space_group_IT_number 1
_space_group_name_Hall 'P 1'
_cell_length_a 5.905
_cell_length_b 5.905
_cell_length_c 3.094
_cell_angle_alpha 90.00
_cell_angle_beta 90.00
_cell_angle_gamma 90.00
loop_
_atom_site_label
_atom_site_type_symbol
_atom_site_fract_x
_atom_site_fract_y
_atom_site_fract_z
Be1 Be 0.120 0.380 0.000
Be2 Be 0.380 0.880 0.000
Be3 Be 0.620 0.120 0.000
Be4 Be 0.880 0.620 0.000
Cr1 Cr 0.174 0.674 0.500
Cr2 Cr 0.326 0.174 0.500
Cr3 Cr 0.674 0.826 0.500
Cr4 Cr 0.826 0.326 0.500
Ga1 Ga 0.000 0.000 0.000
Ga2 Ga 0.500 0.500 0.000
```

Principal peaks in the range 5° ≤ 2θ ≤ 70°, by intensity:
- 42.31 deg, 2.136 Å, I 100
- 36.13 deg, 2.486 Å, I 69
- 45.14 deg, 2.009 Å, I 64
- 48.76 deg, 1.867 Å, I 57
- 33.94 deg, 2.641 Å, I 50
- 43.34 deg, 2.088 Å, I 30
- 21.28 deg, 4.176 Å, I 30
- 59.79 deg, 1.547 Å, I 16



# Be2CrH
Calculated X-ray diffraction stick pattern, Cu Kα (λ = 1.5418 Å). Input: a DFT-relaxed cell (GGA-PBE, Alexandria).
Kinematic intensities with the Lorentz-polarization factor, no thermal factor.

Crystal structure
```
data_Be2CrH
_chemical_formula_sum 'Be4 Cr2 H2'
_space_group_name_H-M_alt 'P 1'
_space_group_IT_number 1
_space_group_name_Hall 'P 1'
_cell_length_a 4.403
_cell_length_b 4.403
_cell_length_c 4.403
_cell_angle_alpha 60.00
_cell_angle_beta 60.00
_cell_angle_gamma 60.00
loop_
_atom_site_label
_atom_site_type_symbol
_atom_site_fract_x
_atom_site_fract_y
_atom_site_fract_z
Be1 Be 0.000 0.000 0.000
Be2 Be 0.000 0.000 0.500
Be3 Be 0.000 0.500 0.000
Be4 Be 0.500 0.000 0.000
Cr1 Cr 0.375 0.375 0.375
Cr2 Cr 0.625 0.625 0.625
H1 H 0.125 0.125 0.125
H2 H 0.875 0.875 0.875
```

Principal peaks in the range 5° ≤ 2θ ≤ 70°, by intensity:
- 40.99 deg, 2.202 Å, I 100
- 24.76 deg, 3.595 Å, I 82
- 48.48 deg, 1.878 Å, I 72
- 65.32 deg, 1.429 Å, I 14
- 59.37 deg, 1.557 Å, I 9
- 50.79 deg, 1.798 Å, I 2



# Mn2BeCrH
Calculated X-ray diffraction stick pattern, Cu Kα (λ = 1.5418 Å). Input: a DFT-relaxed cell (GGA-PBE, Alexandria).
Kinematic intensities with the Lorentz-polarization factor, no thermal factor.

Crystal structure
```
data_Mn2BeCrH
_chemical_formula_sum 'Mn2 Be1 Cr1 H1'
_space_group_name_H-M_alt 'P 1'
_space_group_IT_number 1
_space_group_name_Hall 'P 1'
_cell_length_a 3.641
_cell_length_b 3.641
_cell_length_c 3.516
_cell_angle_alpha 90.00
_cell_angle_beta 90.00
_cell_angle_gamma 90.00
loop_
_atom_site_label
_atom_site_type_symbol
_atom_site_fract_x
_atom_site_fract_y
_atom_site_fract_z
Mn1 Mn 0.000 0.500 0.000
Mn2 Mn 0.500 0.000 0.000
Be1 Be 0.000 0.000 0.500
Cr1 Cr 0.500 0.500 0.500
H1 H 0.500 0.500 0.000
```

Principal peaks in the range 5° ≤ 2θ ≤ 70°, by intensity:
- 43.57 deg, 2.077 Å, I 100
- 50.11 deg, 1.820 Å, I 33
- 24.45 deg, 3.641 Å, I 21
- 52.03 deg, 1.758 Å, I 14
- 35.50 deg, 2.529 Å, I 14
- 25.33 deg, 3.516 Å, I 11
- 34.85 deg, 2.574 Å, I 9
- 62.90 deg, 1.477 Å, I 4